Theoretical powder diffractogram of BaEuDyMnO6 for Cu Kα (weighted mean of Kα1 and Kα2), from a PBE+U-relaxed structure.
No peak broadening, texture or thermal motion is included.

Structure:
Unit cell a=5.8275 b=5.8275 c=5.8275 alpha=60.00 beta=60.00 gamma=60.00
Fractional positions:
Ba 0.0000 0.0000 0.0000
Eu 0.5000 0.5000 0.5000
Dy 0.2500 0.2500 0.2500
Mn 0.7500 0.7500 0.7500
O 0.5172 0.5172 0.9828
O 0.5172 0.9828 0.5172
O 0.5172 0.9828 0.9828
O 0.9828 0.5172 0.5172
O 0.9828 0.5172 0.9828
O 0.9828 0.9828 0.5172

The 12 most intense peaks (2θ = 10–90°), by angle:
2θ (°), Rel. int.
18.6, 9
30.7, 100
36.1, 7
37.8, 5
43.9, 30
48.1, 4
54.6, 39
58.2, 2
63.9, 18
72.5, 18
80.8, 6
88.9, 21